For Na2YGeP3O12, the PBE geometry in the Materials Project gives the computed X-ray powder pattern in this record (Cu Kα).
Kinematic intensities with the Lorentz-polarization factor, no thermal factor.

Atomic structure:
a b c (Å): 8.9846 8.9846 9.0443
angles (deg): 119.54 119.54 59.38
Atoms (fractional coordinates):
Na 0.1011 0.8989 0.5000
Na 0.4979 0.9946 0.7560
Na 0.8989 0.1011 0.0000
Na 0.9946 0.4979 0.2560
Y 0.3628 0.8450 0.3153
Y 0.8450 0.3628 0.8153
Ge 0.1458 0.6301 0.6903
Ge 0.6301 0.1458 0.1903
P 0.0206 0.2662 0.4890
P 0.2662 0.0206 0.9890
P 0.4325 0.5223 0.4917
P 0.5223 0.4325 0.9917
P 0.7686 0.9441 0.5068
P 0.9441 0.7686 0.0068
O 0.0351 0.4453 0.5148
O 0.0950 0.8108 0.1808
O 0.1045 0.2002 0.9756
O 0.2002 0.1045 0.4756
O 0.2301 0.8541 0.8109
O 0.2600 0.5334 0.5076
O 0.2827 0.9935 0.1486
O 0.3525 0.4698 0.8196
O 0.3851 0.7035 0.4730
O 0.4453 0.0351 0.0148
O 0.4698 0.3525 0.3196
O 0.5065 0.5913 0.1610
O 0.5334 0.2600 0.0076
O 0.5913 0.5065 0.6610
O 0.6124 0.9088 0.4904
O 0.7035 0.3851 0.9730
O 0.7400 0.9868 0.3406
O 0.7646 0.9460 0.0128
O 0.8108 0.0950 0.6808
O 0.8541 0.2301 0.3109
O 0.9088 0.6124 0.9904
O 0.9460 0.7646 0.5128
O 0.9868 0.7400 0.8406
O 0.9935 0.2827 0.6486

Most intense lines, 10 to 80 degrees two-theta, by intensity:
2θ/deg  Rel. int.
19.58  100.0
31.33  82.8
23.25  65.5
19.76  60.8
34.81  43.7
31.07  42.3
28.13  42.2
19.95  34.5
34.46  33.4
23.04  29.1
13.78  24.0
59.93  23.0